# 1
For KInW4O12, the GGA+U geometry in the Materials Project gives the computed powder diffraction line list in this record (Cu Ka).
Lines closer than 0.1° are merged.

Largest 6 diffraction maxima, sorted by position, 2θ from 10° to 90°:
| d (Å) | Position (°2θ) | Rel. int. | hkl |
| --- | --- | --- | --- |
| 3.955 | 22.48 | 37 | 2 0 0 |
| 3.933 | 22.61 | 36 | 0 2 0 |
| 3.860 | 23.04 | 35 | 0 0 2 |
| 2.789 | 32.10 | 54 | 2 2 0 |
| 2.758 | 32.46 | 100 | 0 2 2 |
| 1.602 | 57.53 | 23 | 2 4 2 |

Lattice parameters (Å, degrees): 7.909 7.867 7.720 90.00 90.00 90.00
Space group Amm2 (No. 38)
Unique sites:
K 0.000 0.000 0.000 [2 per cell]
In 0.500 0.000 0.527 [2 per cell]
W 0.249 0.249 0.760 [8 per cell]
O 0.000 0.211 0.275 [4 per cell]
O 0.212 0.000 0.708 [4 per cell]
O 0.258 0.206 0.009 [8 per cell]
O 0.311 0.000 0.322 [4 per cell]
O 0.500 0.196 0.726 [4 per cell]



# 2
For MnOF, the GGA+U geometry in the Materials Project gives the computed powder diffraction line list in this record (Cu Ka).
Lines closer than 0.1° are merged.

Largest 6 diffraction maxima, sorted by position, 2θ from 10° to 90°:
| d (Å) | Position (°2θ) | Rel. int. | hkl |
| --- | --- | --- | --- |
| 3.636 | 24.48 | 100 | 1 1 0 |
| 3.531 | 25.22 | 86 | 1 -1 0 |
| 3.002 | 29.76 | 85 | 1 1 2 |
| 2.946 | 30.35 | 79 | 1 1 -2 |
| 2.923 | 30.58 | 79 | 1 -1 2 |
| 2.907 | 30.76 | 83 | -1 1 2 |

Lattice parameters (Å, degrees): 4.597 5.723 10.336 89.34 89.03 88.27
Space group P1 (No. 1)
Unique sites:
Mn 0.000 0.000 0.000 [1 per cell]
Mn 0.004 0.299 0.243 [1 per cell]
Mn 0.013 0.308 0.747 [1 per cell]
Mn 0.033 0.978 0.502 [1 per cell]
Mn 0.503 0.500 0.975 [1 per cell]
Mn 0.507 0.802 0.229 [1 per cell]
Mn 0.513 0.809 0.730 [1 per cell]
Mn 0.535 0.531 0.474 [1 per cell]
O 0.213 0.037 0.160 [1 per cell]
O 0.214 0.269 0.911 [1 per cell]
O 0.231 0.043 0.661 [1 per cell]
O 0.298 0.762 0.393 [1 per cell]
O 0.713 0.767 0.064 [1 per cell]
O 0.718 0.535 0.813 [1 per cell]
O 0.739 0.781 0.574 [1 per cell]
O 0.748 0.541 0.314 [1 per cell]
F 0.248 0.263 0.407 [1 per cell]
F 0.250 0.770 0.882 [1 per cell]
F 0.254 0.530 0.137 [1 per cell]
F 0.269 0.538 0.631 [1 per cell]
F 0.739 0.266 0.091 [1 per cell]
F 0.759 0.040 0.840 [1 per cell]
F 0.776 0.292 0.573 [1 per cell]
F 0.783 0.041 0.341 [1 per cell]



# 3
For LiMn3CrO8, the GGA+U geometry in the Materials Project gives the computed powder diffraction line list in this record (Cu Ka).
Lines closer than 0.1° are merged.

Largest 6 diffraction maxima, sorted by position, 2θ from 10° to 90°:
| d (Å) | Position (°2θ) | Rel. int. | hkl |
| --- | --- | --- | --- |
| 4.850 | 18.29 | 42 | 0 0 3 |
| 4.773 | 18.59 | 100 | 1 0 1 |
| 2.500 | 35.93 | 28 | 1 1 3 |
| 2.075 | 43.62 | 73 | 0 2 4 |
| 1.476 | 62.98 | 20 | 2 0 8 |
| 1.458 | 63.82 | 20 | 2 2 0 |

Lattice parameters (Å, degrees): 5.8336 5.8336 14.5492 90.00 90.00 120.00
Space group R3m (No. 160, hexagonal axes)
Unique sites:
Li 0.0000 0.0000 0.0000 [3 per cell]
Mn 0.1679 0.3358 0.2100 [9 per cell]
Cr 0.0000 0.0000 0.3777 [3 per cell]
O 0.0000 0.0000 0.1402 [3 per cell]
O 0.0000 0.0000 0.6121 [3 per cell]
O 0.0366 0.5183 0.1356 [9 per cell]
O 0.1834 0.3669 0.9530 [9 per cell]



# 4
For CrF5, the GGA+U geometry in the Materials Project gives the computed powder diffraction line list in this record (Cu Ka).
Lines closer than 0.1° are merged.

Largest 6 diffraction maxima, sorted by position, 2θ from 10° to 90°:
| d (Å) | Position (°2θ) | Rel. int. | hkl |
| --- | --- | --- | --- |
| 5.022 | 17.66 | 53 | 1 0 0 |
| 4.885 | 18.16 | 87 | 0 2 0 |
| 4.467 | 19.88 | 64 | 1 1 0 |
| 3.502 | 25.44 | 35 | 1 2 0 |
| 3.269 | 27.28 | 100 | 0 1 2 |
| 1.989 | 45.62 | 32 | 2 3 0 |

Lattice parameters (Å, degrees): 5.348 9.770 7.393 90.00 110.12 90.00
Space group P2_1/c (No. 14)
Unique sites:
Cr 0.118 0.248 0.403 [4 per cell]
F 0.109 0.616 0.198 [4 per cell]
F 0.117 0.195 0.654 [4 per cell]
F 0.152 0.641 0.626 [4 per cell]
F 0.348 0.122 0.007 [4 per cell]
F 0.386 0.136 0.430 [4 per cell]



# 5
For Na4MgMo2O8, the GGA+U geometry in the Materials Project gives the computed powder diffraction line list in this record (Cu Ka).
Lines closer than 0.1° are merged.

Largest 6 diffraction maxima, sorted by position, 2θ from 10° to 90°:
| d (Å) | Position (°2θ) | Rel. int. | hkl |
| --- | --- | --- | --- |
| 5.389 | 16.45 | 77 | 1 0 1 |
| 3.282 | 27.17 | 96 | 1 1 0 |
| 2.836 | 31.54 | 100 | 1 1 3 |
| 2.803 | 31.92 | 43 | 0 2 1 |
| 2.138 | 42.27 | 35 | 1 1 6 |
| 1.641 | 56.03 | 36 | 2 2 0 |

Lattice parameters (Å, degrees): 6.5650 6.5650 16.9046 90.00 90.00 120.00
Space group R-3m (No. 166, hexagonal axes)
Unique sites:
Na 0.0000 0.0000 0.0000 [3 per cell]
Na 0.0000 0.5000 0.5000 [9 per cell]
Mg 0.0000 0.0000 0.5000 [3 per cell]
Mo 0.0000 0.0000 0.3489 [6 per cell]
O 0.0000 0.0000 0.2412 [6 per cell]
O 0.0534 0.5267 0.2552 [18 per cell]



# 6
For V4Fe2HO12, the GGA+U geometry in the Materials Project gives the computed powder diffraction line list in this record (Cu Ka).
Lines closer than 0.1° are merged.

Largest 6 diffraction maxima, sorted by position, 2θ from 10° to 90°:
| d (Å) | Position (°2θ) | Rel. int. | hkl |
| --- | --- | --- | --- |
| 3.530 | 25.23 | 71 | 1 0 -2 |
| 3.464 | 25.72 | 67 | 1 0 2 |
| 3.344 | 26.66 | 91 | 1 2 0 |
| 3.286 | 27.14 | 57 | 1 1 -2 |
| 3.233 | 27.59 | 67 | 1 1 2 |
| 2.556 | 35.11 | 100 | 0 3 2 |

Lattice parameters (Å, degrees): 5.002 8.993 9.783 90.00 91.08 90.00
Space group P2_1 (No. 4)
Unique sites:
V 0.092 0.000 0.353 [2 per cell]
V 0.108 0.673 0.945 [2 per cell]
V 0.374 0.012 0.843 [2 per cell]
V 0.392 0.344 0.446 [2 per cell]
Fe 0.110 0.665 0.361 [2 per cell]
Fe 0.408 0.345 0.867 [2 per cell]
H 0.459 0.588 0.742 [2 per cell]
O 0.070 0.360 0.741 [2 per cell]
O 0.073 0.654 0.771 [2 per cell]
O 0.089 0.011 0.749 [2 per cell]
O 0.205 0.177 0.972 [2 per cell]
O 0.210 0.498 0.506 [2 per cell]
O 0.223 0.174 0.471 [2 per cell]
O 0.286 0.514 0.995 [2 per cell]
O 0.288 0.845 0.472 [2 per cell]
O 0.295 0.837 0.978 [2 per cell]
O 0.419 0.004 0.244 [2 per cell]
O 0.433 0.678 0.223 [2 per cell]
O 0.435 0.369 0.275 [2 per cell]



# 7
For CaEuVWO6, the GGA+U geometry in the Materials Project gives the computed powder diffraction line list in this record (Cu Ka).
Lines closer than 0.1° are merged.

Largest 6 diffraction maxima, sorted by position, 2θ from 10° to 90°:
| d (Å) | Position (°2θ) | Rel. int. | hkl |
| --- | --- | --- | --- |
| 4.631 | 19.17 | 43 | 1 1 1 |
| 2.836 | 31.55 | 100 | 2 2 0 |
| 2.418 | 37.18 | 24 | 3 1 1 |
| 2.005 | 45.22 | 32 | 4 0 0 |
| 1.637 | 56.18 | 39 | 4 2 2 |
| 1.418 | 65.87 | 19 | 4 4 0 |

Lattice parameters (Å, degrees): 8.021 8.021 8.021 90.00 90.00 90.00
Space group F-43m (No. 216)
Unique sites:
Ca 0.000 0.000 0.000 [4 per cell]
Eu 0.000 0.000 0.500 [4 per cell]
V 0.250 0.250 0.750 [4 per cell]
W 0.250 0.250 0.250 [4 per cell]
O 0.007 0.250 0.250 [24 per cell]



# 8
For Na2MgNi2O4, the GGA+U geometry in the Materials Project gives the computed powder diffraction line list in this record (Cu Ka).
Lines closer than 0.1° are merged.

Largest 6 diffraction maxima, sorted by position, 2θ from 10° to 90°:
| d (Å) | Position (°2θ) | Rel. int. | hkl |
| --- | --- | --- | --- |
| 6.366 | 13.91 | 81 | 0 0 2 |
| 4.244 | 20.93 | 24 | 0 0 3 |
| 2.548 | 35.23 | 100 | 0 0 5 |
| 2.327 | 38.69 | 62 | 1 1 -3 |
| 2.321 | 38.81 | 23 | 2 0 3 |
| 1.603 | 57.48 | 31 | 3 1 0 |

Lattice parameters (Å, degrees): 5.548 3.216 12.732 90.00 90.08 90.00
Space group Cm (No. 8)
Unique sites:
Na 0.000 0.000 0.000 [2 per cell]
Na 0.167 0.500 0.630 [2 per cell]
Mg 0.166 0.500 0.410 [2 per cell]
Ni 0.328 0.000 0.213 [2 per cell]
Ni 0.334 0.000 0.820 [2 per cell]
O 0.000 0.000 0.458 [2 per cell]
O 0.001 0.000 0.739 [2 per cell]
O 0.167 0.500 0.907 [2 per cell]
O 0.168 0.500 0.245 [2 per cell]